For Li2VFeP2O8F2, a GGA+U-relaxed structure gives the theoretical X-ray diffraction stick pattern in this record (Cu Kα).

Peak list (10 most intense, 2θ from 5° to 70°, by angle)
| 2theta | I_rel |
| --- | --- |
| 17.80 | 35 |
| 18.25 | 37 |
| 18.48 | 61 |
| 22.24 | 27 |
| 25.73 | 26 |
| 26.41 | 100 |
| 26.64 | 91 |
| 28.89 | 98 |
| 36.19 | 31 |
| 55.34 | 30 |

```
Li2VFeP2O8F2
1.0
5.243 0.000 0.000
-2.400 7.030 0.000
-1.404 -3.211 9.968
Li V Fe P O F
4 2 2 4 16 4
Direct
0.036 0.116 0.308
0.464 0.380 0.191
0.536 0.620 0.809
0.964 0.884 0.692
0.000 0.500 0.000
0.500 0.500 0.500
0.000 0.000 0.000
0.500 0.000 0.500
0.002 0.441 0.679
0.498 0.057 0.821
0.502 0.943 0.179
0.998 0.559 0.321
0.135 0.486 0.829
0.145 0.783 0.394
0.201 0.445 0.335
0.244 0.966 0.877
0.258 0.535 0.625
0.296 0.055 0.166
0.356 0.718 0.107
0.365 0.012 0.671
0.635 0.988 0.329
0.644 0.282 0.893
0.704 0.945 0.834
0.742 0.465 0.375
0.756 0.034 0.123
0.799 0.555 0.665
0.855 0.217 0.606
0.865 0.514 0.171
0.164 0.297 0.037
0.336 0.197 0.463
0.664 0.803 0.537
0.836 0.703 0.963
```